(1)
Structure and computed powder XRD pattern of Mg14TiCO16 (a cell relaxed with GGA-PBE; Cu Kα (λ = 1.5418 Å)).
Kinematic intensities with the Lorentz-polarization factor, no thermal factor.

Atomic structure:
Unit cell a=8.5130 b=8.5130 c=4.2974 alpha=90.00 beta=90.00 gamma=90.00
Space group P4/mmm (No. 123)
Asymmetric unit:
Mg 0.0000 0.2426 0.0000 x4
Mg 0.0000 0.5000 0.5000 x2
Mg 0.2431 0.2431 0.5000 x4
Mg 0.2459 0.5000 0.0000 x4
Ti 0.5000 0.5000 0.5000 x1
C 0.0000 0.0000 0.5000 x1
O 0.0000 0.0000 0.0000 x1
O 0.0000 0.2593 0.5000 x4
O 0.0000 0.5000 0.0000 x2
O 0.2506 0.2506 0.0000 x4
O 0.2531 0.5000 0.5000 x4
O 0.5000 0.5000 0.0000 x1

Principal peaks in the range 2θ = 10–90°, in order of falling intensity:
(4 0 0), 2θ = 42.5°, 2.128 Å, intensity 100; (4 0 2), 2θ = 61.3°, 1.512 Å, intensity 57; (0 0 2), 2θ = 42.1°, 2.149 Å, intensity 52; (4 4 0), 2θ = 61.6°, 1.505 Å, intensity 28; (4 4 2), 2θ = 77.4°, 1.233 Å, intensity 25; (2 2 1), 2θ = 36.4°, 2.465 Å, intensity 17; (1 0 0), 2θ = 10.4°, 8.513 Å, intensity 7; (6 2 1), 2θ = 73.8°, 1.284 Å, intensity 7



(2)
Structure and computed powder XRD pattern of MgCuPdO2 (a cell relaxed with GGA-PBE; Cu Kα (λ = 1.5418 Å)).
Kinematic intensities with the Lorentz-polarization factor, no thermal factor.

Atomic structure:
Unit cell a=2.9461 b=4.4405 c=5.7505 alpha=90.00 beta=90.00 gamma=90.00
Space group Pmmm (No. 47)
Asymmetric unit:
Mg 0.0000 0.0000 0.0000 x1
Cu 0.5000 0.5000 0.0000 x1
Pd 0.0000 0.0000 0.5000 x1
O 0.5000 0.0000 0.2440 x2

Principal peaks in the range 2θ = 10–90°, in order of falling intensity:
(0 1 1), 2θ = 25.3°, 3.515 Å, intensity 100; (1 1 2), 2θ = 48.8°, 1.867 Å, intensity 78; (1 1 0), 2θ = 36.6°, 2.455 Å, intensity 48; (1 0 1), 2θ = 34.2°, 2.622 Å, intensity 47; (0 1 0), 2θ = 20.0°, 4.441 Å, intensity 42; (0 0 2), 2θ = 31.1°, 2.875 Å, intensity 37; (0 2 0), 2θ = 40.6°, 2.220 Å, intensity 34; (0 2 2), 2θ = 52.0°, 1.758 Å, intensity 32



(3)
Structure and computed powder XRD pattern of HgBr2O8 (a cell relaxed with GGA-PBE; Cu Kα (λ = 1.5418 Å)).
Kinematic intensities with the Lorentz-polarization factor, no thermal factor.

Atomic structure:
Unit cell a=6.2321 b=9.5941 c=12.6301 alpha=90.00 beta=90.00 gamma=90.00
Space group P2_12_12_1 (No. 19)
Asymmetric unit:
Hg 0.0461 0.0435 0.2286 x4
Br 0.1696 0.6642 0.6102 x4
Br 0.2047 0.2152 0.6040 x4
O 0.0858 0.7736 0.1939 x4
O 0.0913 0.2684 0.0709 x4
O 0.0942 0.7650 0.7120 x4
O 0.1480 0.5584 0.4017 x4
O 0.1504 0.0433 0.6210 x4
O 0.1914 0.7680 0.9829 x4
O 0.2301 0.5038 0.6610 x4
O 0.2360 0.0119 0.3594 x4

Principal peaks in the range 2θ = 10–90°, in order of falling intensity:
(1 2 1), 2θ = 24.5°, 3.640 Å, intensity 100; (1 0 1), 2θ = 15.9°, 5.589 Å, intensity 76; (1 0 2), 2θ = 20.0°, 4.436 Å, intensity 64; (0 0 2), 2θ = 14.0°, 6.315 Å, intensity 54; (0 2 2), 2θ = 23.3°, 3.820 Å, intensity 53; (1 0 3), 2θ = 25.5°, 3.489 Å, intensity 50; (0 0 6), 2θ = 43.0°, 2.104 Å, intensity 32; (1 2 2), 2θ = 27.4°, 3.257 Å, intensity 32



(4)
Structure and computed powder XRD pattern of ErAlO3 (a cell relaxed with GGA-PBE; Cu Kα (λ = 1.5418 Å)).
Kinematic intensities with the Lorentz-polarization factor, no thermal factor.

Atomic structure:
Unit cell a=5.3797 b=7.4098 c=5.1764 alpha=90.00 beta=90.00 gamma=90.00
Space group Pnma (No. 62)
Asymmetric unit:
Er 0.0593 0.2500 0.0155 x4
Al 0.0000 0.0000 0.5000 x4
O 0.0273 0.7500 0.4060 x4
O 0.2039 0.5492 0.7970 x8

Principal peaks in the range 2θ = 10–90°, in order of falling intensity:
(1 2 1), 2θ = 34.1°, 2.629 Å, intensity 100; (1 0 1), 2θ = 23.9°, 3.730 Å, intensity 59; (0 2 0), 2θ = 24.0°, 3.705 Å, intensity 36; (0 2 2), 2θ = 42.6°, 2.122 Å, intensity 27; (0 0 2), 2θ = 34.7°, 2.588 Å, intensity 25; (1 1 1), 2θ = 26.8°, 3.332 Å, intensity 24; (3 1 1), 2θ = 55.6°, 1.652 Å, intensity 22; (1 2 3), 2θ = 61.8°, 1.502 Å, intensity 22



(5)
Structure and computed powder XRD pattern of SmGaSb2 (a cell relaxed with GGA-PBE; Cu Kα (λ = 1.5418 Å)).
Kinematic intensities with the Lorentz-polarization factor, no thermal factor.

Atomic structure:
Unit cell a=4.3429 b=4.3429 c=6.3037 alpha=90.00 beta=90.00 gamma=90.00
Space group P4/mmm (No. 123)
Asymmetric unit:
Sm 0.0000 0.0000 0.0000 x1
Ga 0.5000 0.5000 0.5000 x1
Sb 0.0000 0.0000 0.5000 x1
Sb 0.5000 0.5000 0.0000 x1

Principal peaks in the range 2θ = 10–90°, in order of falling intensity:
(1 1 0), 2θ = 29.1°, 3.071 Å, intensity 100; (1 1 2), 2θ = 41.0°, 2.200 Å, intensity 78; (0 0 2), 2θ = 28.3°, 3.152 Å, intensity 54; (2 0 2), 2θ = 51.1°, 1.788 Å, intensity 41; (2 0 0), 2θ = 41.6°, 2.171 Å, intensity 38; (3 1 2), 2θ = 75.5°, 1.259 Å, intensity 25; (1 1 4), 2θ = 66.7°, 1.402 Å, intensity 18; (2 2 2), 2θ = 67.9°, 1.380 Å, intensity 17